Theoretical powder diffractogram
Compound: Li3FeOF4
Radiation: λ = 1.5418 Å (Cu Kα)
Structure: a structure optimized by DFT (PBE+U)

Top 8 peaks for 10° ≤ 2θ ≤ 90°, in order of falling intensity:
- 26.68°, I 100
- 17.92°, I 85
- 17.50°, I 66
- 38.97°, I 64
- 41.55°, I 59
- 27.03°, I 56
- 48.43°, I 41
- 25.90°, I 35

Structure:
a = 5.302 Å, b = 5.302 Å, c = 6.883 Å
α = 129.26°, β = 129.26°, γ = 41.52°
Fractional coordinates of all 9 atoms:
Li 0.000 0.000 0.000
Li 0.180 0.180 0.534
Li 0.536 0.536 0.724
Fe 0.370 0.370 0.171
O 0.900 0.900 0.167
F 0.102 0.102 0.834
F 0.280 0.280 0.359
F 0.427 0.427 0.903
F 0.628 0.628 0.540